# Cs2CuBiF6
Theoretical PXRD pattern, copper Kα. Input: a structure optimized by DFT (PBE).
Peak positions follow from Bragg's law for the DFT cell and can differ from measured ones.

Cell and atoms:
```
data_Cs2CuBiF6
_chemical_formula_sum 'Cs8 Cu4 Bi4 F24'
_space_group_name_H-M_alt 'F m -3 m'
_space_group_IT_number 225
_space_group_name_Hall '-F 4 2 3'
_cell_length_a 9.199
_cell_length_b 9.199
_cell_length_c 9.199
_cell_angle_alpha 90.00
_cell_angle_beta 90.00
_cell_angle_gamma 90.00
loop_
_atom_site_label
_atom_site_type_symbol
_atom_site_fract_x
_atom_site_fract_y
_atom_site_fract_z
_atom_site_occupancy
Cs1 Cs 0.250 0.250 0.250 1
Cu1 Cu 0.000 0.000 0.000 1
Bi1 Bi 0.000 0.000 0.500 1
F1 F 0.000 0.000 0.249 1
```

Main lines, low angle first (2θ from 10° to 90°):
2θ 16.7, d = 5.311 Å, I 16; 2θ 27.4, d = 3.252 Å, I 100; 2θ 32.3, d = 2.774 Å, I 10; 2θ 39.2, d = 2.300 Å, I 34; 2θ 42.9, d = 2.110 Å, I 5; 2θ 48.5, d = 1.878 Å, I 43; 2θ 56.6, d = 1.626 Å, I 22; 2θ 64.0, d = 1.455 Å, I 19; 2θ 71.0, d = 1.328 Å, I 7; 2θ 77.7, d = 1.229 Å, I 22